Computed powder diffractogram of Ca4YPb5 for Cu Kα, 1.54184 Å, from a cell relaxed with GGA-PBE.
No peak broadening, texture or thermal motion is included.

Largest 12 diffraction maxima, by intensity, 10° ≤ 2θ ≤ 90°:
Position (°2θ), Rel. int.
31.60, 100
35.22, 38
24.70, 32
60.94, 31
19.40, 27
53.84, 22
40.52, 19
39.38, 14
50.66, 14
47.04, 12
65.99, 12
66.56, 12

Crystal structure
```
10
Lattice="3.6040 0.0000 0.0000 0.0000 3.6040 0.0000 0.0000 0.0000 22.8829" Properties=species:S:1:pos:R:3 pbc="T T T"
Ca 0.0000 0.0000 2.3176
Ca 0.0000 0.0000 6.8836
Ca 0.0000 0.0000 15.9993
Ca 0.0000 0.0000 20.5653
Y 0.0000 0.0000 11.4415
Pb 1.8020 1.8020 0.0000
Pb 1.8020 1.8020 4.6141
Pb 1.8020 1.8020 9.2233
Pb 1.8020 1.8020 13.6596
Pb 1.8020 1.8020 18.2688
```